Structure and computed powder XRD pattern of Ca2Nd2MnNiO8 (a structure optimized by DFT (GGA+U); Cu Kα).

Cell and atoms:
```
data_Ca2Nd2MnNiO8
_chemical_formula_sum 'Ca4 Nd4 Mn2 Ni2 O16'
_symmetry_space_group_name_H-M 'P 1'
_symmetry_Int_Tables_number 1
_cell_length_a 5.4813
_cell_length_b 5.4813
_cell_length_c 11.8854
_cell_angle_alpha 90.00
_cell_angle_beta 90.00
_cell_angle_gamma 90.17
loop_
_symmetry_equiv_pos_as_xyz
'x,y,z'
loop_
_atom_site_label
_atom_site_type_symbol
_atom_site_fract_x
_atom_site_fract_y
_atom_site_fract_z
Ca1 Ca 0.0154 0.9846 0.8640
Ca2 Ca 0.4846 0.5154 0.8640
Ca3 Ca 0.5154 0.4846 0.1360
Ca4 Ca 0.9846 0.0154 0.1360
Nd1 Nd 0.0169 0.5169 0.3543
Nd2 Nd 0.4831 0.9831 0.3543
Nd3 Nd 0.5169 0.0169 0.6457
Nd4 Nd 0.9831 0.4831 0.6457
Mn1 Mn 0.0000 0.5000 0.0000
Mn2 Mn 0.5000 0.0000 0.0000
Ni1 Ni 0.0000 0.0000 0.5000
Ni2 Ni 0.5000 0.5000 0.5000
O1 O 0.0420 0.5420 0.8360
O2 O 0.0488 0.9512 0.3216
O3 O 0.2500 0.2500 0.0000
O4 O 0.2500 0.2500 0.5000
O5 O 0.2500 0.7500 0.0265
O6 O 0.2500 0.7500 0.5288
O7 O 0.4512 0.5488 0.3216
O8 O 0.4580 0.9580 0.8360
O9 O 0.5420 0.0420 0.1640
O10 O 0.5488 0.4512 0.6784
O11 O 0.7500 0.2500 0.4712
O12 O 0.7500 0.2500 0.9735
O13 O 0.7500 0.7500 0.0000
O14 O 0.7500 0.7500 0.5000
O15 O 0.9512 0.0488 0.6784
O16 O 0.9580 0.4580 0.1640
```

The 10 most intense peaks (2θ from 10° to 90°), sorted by position:
d (Å)	I_rel
3.962	13.7
3.876	28.1
2.771	100.0
2.741	71.1
2.358	14.5
2.015	19.7
1.941	19.4
1.935	18.3
1.605	15.1
1.588	37.9